Simulated PXRD pattern
Compound: Li6NbO6
Radiation: copper Kα
Structure: a cell relaxed with PBE
Intensities are scaled so that the largest is 100.

Largest 10 diffraction maxima, sorted by position, 2θ from 10° to 90°:
- hkl 0 2 0, 2θ = 18.70°, rel. 62.2
- hkl 0 0 2, 2θ = 19.67°, rel. 48.2
- hkl 1 1 -1, 2θ = 19.82°, rel. 100.0
- hkl 1 1 1, 2θ = 20.25°, rel. 84.6
- hkl 0 2 2, 2θ = 27.27°, rel. 51.1
- hkl 2 0 0, 2θ = 29.64°, rel. 21.0
- hkl 1 3 1, 2θ = 33.63°, rel. 19.8
- hkl 2 2 0, 2θ = 35.29°, rel. 34.0
- hkl 1 3 3, 2θ = 44.48°, rel. 41.8
- hkl 3 1 -1, 2θ = 47.02°, rel. 23.3

Cell and atoms:
```
data_Li6NbO6
_chemical_formula_sum 'Li24 Nb4 O24'
_space_group_name_H-M_alt 'C 1 2/c 1'
_space_group_IT_number 15
_cell_length_a 6.0314
_cell_length_b 9.4904
_cell_length_c 9.0282
_cell_angle_alpha 90.00
_cell_angle_beta 91.69
_cell_angle_gamma 90.00
loop_
_space_group_symop_operation_xyz
'x,y,z'
'-x,-y,-z'
'-x,y,-z+1/2'
'x,-y,z+1/2'
'x+1/2,y+1/2,z'
'-x+1/2,-y+1/2,-z'
'-x+1/2,y+1/2,-z+1/2'
'x+1/2,-y+1/2,z+1/2'
loop_
_atom_site_label
_atom_site_type_symbol
_atom_site_fract_x
_atom_site_fract_y
_atom_site_fract_z
Li1 Li 0.0586 0.1044 0.3700
Li2 Li 0.0684 0.4459 0.6292
Li3 Li 0.1898 0.1673 0.6846
Nb1 Nb 0.2500 0.2500 0.0000
O1 O 0.0676 0.3149 0.4587
O2 O 0.1411 0.0838 0.8881
O3 O 0.2374 0.3605 0.8058
```